Diffraction record for LiDyZn2Pt2. The powder diffraction line list is simulated, not measured: it uses DFT lattice parameters and positions (PBE) and Cu Kα (λ = 1.5418 Å).
No peak broadening, texture or thermal motion is included.

Atomic structure:
```
LiDyZn2Pt2
1.0
4.342 0.000 0.000
-2.171 3.760 0.000
0.000 0.000 6.502
Li Dy Zn Pt
1 1 2 2
direct
0.000 0.000 0.000
0.000 0.000 0.500
0.333 0.667 0.827
0.667 0.333 0.173
0.333 0.667 0.238
0.667 0.333 0.762
```

Peak list (10 most intense, 10 to 90 degrees two-theta, low angle first)
27.4 deg, intensity 100, (1 0 1); 36.5 deg, intensity 72, (1 0 2); 41.6 deg, intensity 84, (1 1 0); 48.5 deg, intensity 21, (0 1 3); 50.5 deg, intensity 32, (0 2 1); 56.6 deg, intensity 26, (0 0 4); 60.3 deg, intensity 15, (1 1 3); 67.5 deg, intensity 14, (2 1 1); 72.6 deg, intensity 34, (1 1 4); 75.9 deg, intensity 13, (3 0 0)